[1]
Diffraction record for Pu4GaSb. The powder diffraction line list is computed, not measured: it uses DFT lattice parameters and positions (GGA-PBE) and Cu Kα (weighted mean of Kα1 and Kα2).

Peak list (6 most intense, 2θ = 5–70°, low angle first)
2θ (°)	I (rel.)
27.08	28
34.02	76
35.38	100
45.14	30
49.90	26
67.86	31

Crystal structure
Cell lengths 3.293, 5.082, 8.772 Å; angles 90.00, 90.00, 90.00 degrees
Space group Pmmm (No. 47)
Unique sites:
Pu  0.000  0.000  0.163 x2
Pu  0.000  0.500  0.329 x2
Ga  0.500  0.500  0.000 x1
Sb  0.500  0.000  0.500 x1

***

[2]
Diffraction record for Ca2PuRuO5. The powder diffraction line list is computed, not measured: it uses DFT lattice parameters and positions (GGA-PBE) and Cu Kα (weighted mean of Kα1 and Kα2).

Peak list (6 most intense, 2θ = 5–70°, low angle first)
2θ (°)	I (rel.)
14.95	68
28.30	42
30.16	32
32.15	100
40.45	31
41.83	42

Crystal structure
Cell lengths 6.307, 6.307, 5.927 Å; angles 90.00, 90.00, 90.00 degrees
Space group P4/mbm (No. 127)
Unique sites:
Ca  0.170  0.330  0.000 x4
Pu  0.000  0.000  0.500 x2
Ru  0.000  0.500  0.500 x2
O  0.000  0.000  0.000 x2
O  0.158  0.658  0.276 x8